Entry 1:
Calculated X-ray diffraction stick pattern
Compound: Ga2NiSn
Radiation: copper Kα
Structure: a crystal structure in OQMD, relaxed with GGA-PBE

Cell and atoms:
```
Ga2NiSn
1.0
4.0857 0.0000 0.0000
0.0000 5.5259 3.2922
0.0000 -5.5259 3.2922
Ga Ni Sn
4 2 2
direct
0.2500 0.0809 0.9191
0.2500 0.5569 0.9152
0.7500 0.9152 0.5569
0.7500 0.9191 0.0809
0.2500 0.9387 0.2924
0.7500 0.2924 0.9387
0.2500 0.5545 0.3476
0.7500 0.3476 0.5545
```

Main lines, low angle first (10° ≤ 2θ ≤ 90°):
two_theta  I_rel
26.92  33
27.11  23
31.63  22
32.40  19
38.72  100
39.37  55
44.34  31
57.32  15
63.21  13
77.84  15

***

Entry 2:
Calculated X-ray diffraction stick pattern
Compound: Zn2IN4F
Radiation: copper Kα
Structure: a crystal structure in OQMD, relaxed with GGA-PBE

Cell and atoms:
```
Zn2IN4F
1.0
-2.3165 2.3165 5.0525
2.3165 -2.3165 5.0525
2.3165 2.3165 -5.0525
Zn I N F
2 1 4 1
direct
0.0000 0.0000 0.0000
0.7500 0.2500 0.5000
0.2500 0.7500 0.5000
0.0616 0.6615 0.0161
0.3385 0.3545 0.4000
0.6455 0.0455 0.9839
0.9545 0.9384 0.6000
0.5000 0.5000 0.0000
```

Main lines, low angle first (10° ≤ 2θ ≤ 90°):
two_theta  I_rel
17.55  20
21.09  25
32.57  100
35.54  14
38.88  22
53.68  28
56.15  12
61.95  15
66.44  23
88.44  10

***

Entry 3:
Calculated X-ray diffraction stick pattern
Compound: PuF4
Radiation: copper Kα
Structure: a crystal structure in OQMD, relaxed with GGA-PBE

Cell and atoms:
```
PuF4
1.0
0.0000 4.9815 2.6595
4.6323 0.0000 2.6595
4.6323 4.9815 0.0000
Pu F
2 8
direct
0.0000 0.0000 0.0000
0.2500 0.2500 0.2500
0.3071 0.3824 0.4656
0.3824 0.3071 0.8449
0.4051 0.7844 0.8676
0.4595 0.8588 0.4055
0.7844 0.4051 0.9429
0.8445 0.9738 0.7905
0.8588 0.4595 0.2762
0.9738 0.8445 0.3912
```

Main lines, low angle first (10° ≤ 2θ ≤ 90°):
two_theta  I_rel
21.23  100
26.27  65
33.24  27
34.78  28
38.37  22
39.05  22
43.48  26
49.85  16
54.20  20
55.77  19

***

Please write out number 1 again, unchanged.
Calculated X-ray diffraction stick pattern
Compound: Ga2NiSn
Radiation: copper Kα
Structure: a crystal structure in OQMD, relaxed with GGA-PBE

Cell and atoms:
```
Ga2NiSn
1.0
4.0857 0.0000 0.0000
0.0000 5.5259 3.2922
0.0000 -5.5259 3.2922
Ga Ni Sn
4 2 2
direct
0.2500 0.0809 0.9191
0.2500 0.5569 0.9152
0.7500 0.9152 0.5569
0.7500 0.9191 0.0809
0.2500 0.9387 0.2924
0.7500 0.2924 0.9387
0.2500 0.5545 0.3476
0.7500 0.3476 0.5545
```

Main lines, low angle first (10° ≤ 2θ ≤ 90°):
two_theta  I_rel
26.92  33
27.11  23
31.63  22
32.40  19
38.72  100
39.37  55
44.34  31
57.32  15
63.21  13
77.84  15